Starting from the PBE geometry in Alexandria, the powder X-ray diffraction pattern of Sm3Si2Pd9Au was simulated for Cu Ka.
Peak positions follow from Bragg's law for the DFT cell and can differ from measured ones.

Structure:
a = 5.7317 Å, b = 5.7317 Å, c = 10.8644 Å
α = 90.00°, β = 90.00°, γ = 120.00°
Sites, in units of the cell vectors:
Sm: 0.0000 0.0000 0.0000
Sm: 0.3333 0.6667 0.5979
Sm: 0.6667 0.3333 0.4021
Si: 0.3333 0.6667 0.1573
Si: 0.6667 0.3333 0.8427
Pd: 0.0000 0.5000 0.0000
Pd: 0.1628 0.3255 0.3012
Pd: 0.1628 0.8372 0.3012
Pd: 0.3255 0.1628 0.6988
Pd: 0.5000 0.0000 0.0000
Pd: 0.5000 0.5000 0.0000
Pd: 0.6745 0.8372 0.3012
Pd: 0.8372 0.1628 0.6988
Pd: 0.8372 0.6745 0.6988
Au: 0.0000 0.0000 0.5000

Peak list (6 most intense, 2θ = 5–70°, by intensity)
2θ (°)  I/Imax  h k l
39.94  100.0  2 0 2
37.16  66.3  0 2 1
24.58  35.8  0 0 3
49.77  30.3  0 2 4
35.41  28.1  1 1 2
65.10  27.4  2 2 0